For Li2TbPm, a DFT-relaxed cell (GGA-PBE, Alexandria) gives the simulated XRD peak list in this record (Cu Kα (λ = 1.5418 Å)).

Main lines, in order of rising 2θ (10° ≤ 2θ ≤ 80°):
2θ = 23.64°, I = 100; 2θ = 33.68°, I = 93; 2θ = 41.56°, I = 30; 2θ = 48.44°, I = 11; 2θ = 54.41°, I = 14; 2θ = 54.58°, I = 27; 2θ = 60.14°, I = 12; 2θ = 60.28°, I = 23; 2θ = 75.80°, I = 10; 2θ = 75.94°, I = 8

Structure:
```
Li2TbPm
1.0
3.758 0.000 0.000
0.000 3.758 0.000
0.000 0.000 7.548
Li Tb Pm
2 1 1
direct
0.000 0.000 0.246
0.000 0.000 0.754
0.500 0.500 0.000
0.500 0.500 0.500
```